(1)
Theoretical X-ray powder pattern
Compound: KMg2Al
Radiation: a wavelength of 1.5418 Å
Structure: a DFT-relaxed cell (GGA-PBE, Alexandria)
Peak positions follow from Bragg's law for the DFT cell and can differ from measured ones.

Most intense lines, 2θ from 5° to 70°, by angle:
| d [Å] | I (rel.) |
| --- | --- |
| 3.941 | 32 |
| 3.040 | 100 |
| 2.878 | 13 |
| 2.758 | 20 |
| 2.532 | 87 |
| 2.469 | 27 |
| 2.462 | 27 |
| 2.241 | 30 |
| 1.868 | 12 |
| 1.658 | 29 |

Cell and atoms:
Cell: 3.0694 4.4822 8.2755 Å, 90.00 90.17 90.00°
Positions (direct):
K  0.0000  0.0000  0.0000
Mg  0.4922  0.5000  0.3371
Mg  0.9892  0.0000  0.5411
Al  0.4926  0.5000  0.6959



(2)
Theoretical X-ray powder pattern
Compound: CsPmBr4
Radiation: a wavelength of 1.5418 Å
Structure: a DFT-relaxed cell (GGA-PBE, Alexandria)
Peak positions follow from Bragg's law for the DFT cell and can differ from measured ones.

Most intense lines, 2θ from 5° to 70°, by angle:
| d [Å] | I (rel.) |
| --- | --- |
| 4.783 | 100 |
| 4.317 | 58 |
| 3.395 | 38 |
| 3.192 | 72 |
| 3.182 | 94 |
| 3.095 | 57 |
| 2.670 | 45 |
| 2.499 | 71 |
| 2.407 | 63 |
| 1.698 | 36 |

Cell and atoms:
Cell: 9.6409 9.6409 8.0736 Å, 105.42 105.42 43.88°
Positions (direct):
Cs  0.1960  0.8040  0.7500
Cs  0.8040  0.1960  0.2500
Pm  0.0000  0.5000  0.0000
Pm  0.5000  0.0000  0.5000
Br  0.1216  0.2722  0.6566
Br  0.2722  0.1216  0.1566
Br  0.2797  0.5282  0.0575
Br  0.4718  0.7203  0.4425
Br  0.5282  0.2797  0.5575
Br  0.7203  0.4718  0.9425
Br  0.7278  0.8784  0.8434
Br  0.8784  0.7278  0.3434